Structure and simulated X-ray diffraction stick pattern of Ca6Tl2Hg (a structure optimized by DFT (GGA-PBE); CuKα).
Kinematic intensities with the Lorentz-polarization factor, no thermal factor.

The 10 most intense peaks (15° ≤ 2θ ≤ 90°), by angle:
hkl 0 1 1, 20.15°, rel. 89; hkl 0 1 2, 24.97°, rel. 37; hkl 1 0 3, 31.49°, rel. 93; hkl 1 1 0, 31.93°, rel. 100; hkl 2 0 1, 38.04°, rel. 19; hkl 0 2 3, 45.46°, rel. 33; hkl 1 1 4, 47.43°, rel. 33; hkl 1 2 1, 50.49°, rel. 17; hkl 2 1 3, 56.62°, rel. 34; hkl 3 0 0, 56.89°, rel. 19

a = 5.606 Å, b = 5.606 Å, c = 10.509 Å
α = 90.00°, β = 90.00°, γ = 120.00°
Sites, in units of the cell vectors:
1 Ca 0.000 0.000 0.206
2 Ca 0.000 0.000 0.794
3 Ca 0.333 0.667 0.059
4 Ca 0.333 0.667 0.414
5 Ca 0.667 0.333 0.586
6 Ca 0.667 0.333 0.941
7 Tl 0.333 0.667 0.744
8 Tl 0.667 0.333 0.256
9 Hg 0.000 0.000 0.500